For Cs2ZrW3O12, a cell relaxed with GGA+U gives the computed powder diffraction line list in this record (λ = 1.5418 Å (Cu Kα)).
Peak positions follow from Bragg's law for the DFT cell and can differ from measured ones.

Crystal structure
Cell lengths 12.904, 7.450, 7.561 Å; angles 90.00, 124.67, 90.00 degrees
Space group C2 (No. 5)
Symmetry-distinct sites (fractional):
Cs1 0.127 0.000 0.381 [4 per cell]
Zr1 0.000 0.500 0.500 [2 per cell]
W1 0.000 0.500 0.000 [2 per cell]
W2 0.250 0.251 0.000 [4 per cell]
O1 0.065 0.500 0.299 [4 per cell]
O2 0.122 0.315 0.052 [4 per cell]
O3 0.122 0.685 0.052 [4 per cell]
O4 0.133 0.302 0.701 [4 per cell]
O5 0.133 0.698 0.701 [4 per cell]
O6 0.193 0.000 0.948 [4 per cell]

The 12 most intense peaks (2θ = 10–90°), by angle:
2θ (°)  Rel. int.  (hkl)
14.24  38  0 0 1
23.54  36  1 1 1
27.62  46  1 1 -2
27.92  100  3 1 0
28.07  93  2 2 -1
28.71  30  0 0 2
29.29  79  4 0 -2
44.58  32  3 3 0
48.15  44  2 2 2
48.90  45  0 4 0
57.06  25  2 2 -4
57.70  24  6 2 0